Entry 1:
Structure and simulated X-ray powder pattern of CrSb3P6O24 (a GGA+U-relaxed structure; Cu Kα (λ = 1.5418 Å)).

Peak list (10 most intense, 2θ = 10–90°, sorted by position)
- 2θ 14.49, I 57
- 2θ 19.95, I 100
- 2θ 21.13, I 64
- 2θ 24.27, I 53
- 2θ 29.22, I 60
- 2θ 31.99, I 58
- 2θ 36.33, I 28
- 2θ 37.02, I 24
- 2θ 52.55, I 24
- 2θ 58.03, I 17

Structure:
abc: 8.9314 8.9314 8.9314
angles: 56.18 56.18 56.18
Sites, in units of the cell vectors:
1 Cr 0.0000 0.0000 0.0000
2 Sb 0.2971 0.2971 0.2971
3 Sb 0.5052 0.5052 0.5052
4 Sb 0.7917 0.7917 0.7917
5 P 0.1097 0.6856 0.3966
6 P 0.1864 0.6167 0.8972
7 P 0.3966 0.1097 0.6856
8 P 0.6167 0.8972 0.1864
9 P 0.6856 0.3966 0.1097
10 P 0.8972 0.1864 0.6167
11 O 0.0300 0.6300 0.8560
12 O 0.1064 0.1662 0.4633
13 O 0.1259 0.4839 0.4341
14 O 0.1326 0.8248 0.1927
15 O 0.1662 0.4633 0.1064
16 O 0.1682 0.8078 0.8694
17 O 0.1927 0.1326 0.8248
18 O 0.2606 0.6560 0.4568
19 O 0.3883 0.5269 0.7594
20 O 0.4341 0.1259 0.4839
21 O 0.4568 0.2606 0.6560
22 O 0.4633 0.1064 0.1662
23 O 0.4839 0.4341 0.1259
24 O 0.5269 0.7594 0.3883
25 O 0.5423 0.9075 0.7610
26 O 0.6300 0.8560 0.0300
27 O 0.6560 0.4568 0.2606
28 O 0.7594 0.3883 0.5269
29 O 0.7610 0.5423 0.9075
30 O 0.8078 0.8694 0.1682
31 O 0.8248 0.1927 0.1326
32 O 0.8560 0.0300 0.6300
33 O 0.8694 0.1682 0.8078
34 O 0.9075 0.7610 0.5423


Entry 2:
Structure and simulated X-ray powder pattern of Cr3SbP6O24 (a GGA+U-relaxed structure; Cu Kα (λ = 1.5418 Å)).

Peak list (10 most intense, 2θ = 10–90°, sorted by position)
- 2θ 14.52, I 63
- 2θ 20.16, I 89
- 2θ 21.02, I 45
- 2θ 24.28, I 100
- 2θ 29.28, I 61
- 2θ 32.27, I 48
- 2θ 32.61, I 16
- 2θ 36.32, I 20
- 2θ 36.83, I 19
- 2θ 53.09, I 19

Structure:
abc: 8.8265 8.8265 8.8265
angles: 57.23 57.23 57.23
Sites, in units of the cell vectors:
1 Cr 0.0000 0.0000 0.0000
2 Cr 0.2112 0.2112 0.2112
3 Cr 0.5013 0.5013 0.5013
4 Sb 0.7163 0.7163 0.7163
5 P 0.1082 0.8249 0.3918
6 P 0.3197 0.6093 0.8905
7 P 0.3918 0.1082 0.8249
8 P 0.6093 0.8905 0.3197
9 P 0.8249 0.3918 0.1082
10 P 0.8905 0.3197 0.6093
11 O 0.0120 0.3741 0.1004
12 O 0.0526 0.8542 0.2387
13 O 0.0539 0.3199 0.4142
14 O 0.1004 0.0120 0.3741
15 O 0.1237 0.7631 0.9509
16 O 0.2387 0.0526 0.8542
17 O 0.3120 0.6725 0.3766
18 O 0.3199 0.4142 0.0539
19 O 0.3474 0.6191 0.6994
20 O 0.3741 0.1004 0.0120
21 O 0.3766 0.3120 0.6725
22 O 0.4142 0.0539 0.3199
23 O 0.4806 0.6501 0.8731
24 O 0.5966 0.9643 0.7528
25 O 0.6191 0.6994 0.3474
26 O 0.6501 0.8731 0.4806
27 O 0.6725 0.3766 0.3120
28 O 0.6994 0.3474 0.6191
29 O 0.7528 0.5966 0.9643
30 O 0.7631 0.9509 0.1237
31 O 0.8542 0.2387 0.0526
32 O 0.8731 0.4806 0.6501
33 O 0.9509 0.1237 0.7631
34 O 0.9643 0.7528 0.5966


Entry 3:
Structure and simulated X-ray powder pattern of Cr3SbP4O16 (a GGA+U-relaxed structure; Cu Kα (λ = 1.5418 Å)).

Peak list (10 most intense, 2θ = 10–90°, sorted by position)
- 2θ 17.48, I 100
- 2θ 20.06, I 48
- 2θ 20.24, I 29
- 2θ 25.20, I 76
- 2θ 25.38, I 90
- 2θ 29.45, I 31
- 2θ 29.71, I 25
- 2θ 30.46, I 90
- 2θ 35.55, I 59
- 2θ 35.88, I 61

Structure:
abc: 4.8920 5.8699 10.1476
angles: 90.00 90.67 90.00
Sites, in units of the cell vectors:
1 Cr 0.0000 0.0000 0.0000
2 Cr 0.1250 0.5000 0.5560
3 Cr 0.6182 0.0000 0.5162
4 Sb 0.5102 0.5000 0.0568
5 P 0.1782 0.0000 0.6917
6 P 0.4222 0.0000 0.1902
7 P 0.6835 0.5000 0.3876
8 P 0.9609 0.5000 0.8566
9 O 0.2414 0.0000 0.8397
10 O 0.2496 0.2002 0.1220
11 O 0.2496 0.7998 0.1220
12 O 0.2701 0.5000 0.8794
13 O 0.3287 0.2036 0.6169
14 O 0.3287 0.7964 0.6169
15 O 0.3745 0.5000 0.4058
16 O 0.4090 0.0000 0.3394
17 O 0.7153 0.0000 0.1404
18 O 0.7626 0.5000 0.2443
19 O 0.8224 0.2906 0.9282
20 O 0.8224 0.7094 0.9282
21 O 0.8296 0.2930 0.4622
22 O 0.8296 0.7070 0.4622
23 O 0.8694 0.0000 0.6682
24 O 0.8901 0.5000 0.7105


Entry 4:
Structure and simulated X-ray powder pattern of Ti3Cr2SbP6O24 (a GGA+U-relaxed structure; Cu Kα (λ = 1.5418 Å)).

Peak list (10 most intense, 2θ = 10–90°, sorted by position)
- 2θ 20.18, I 18
- 2θ 20.32, I 85
- 2θ 23.81, I 100
- 2θ 31.55, I 15
- 2θ 32.19, I 80
- 2θ 35.58, I 44
- 2θ 46.20, I 25
- 2θ 48.74, I 29
- 2θ 55.64, I 27
- 2θ 61.79, I 20

Structure:
abc: 8.8007 8.8007 8.8007
angles: 59.54 59.54 59.54
Sites, in units of the cell vectors:
1 Ti 0.0000 0.0000 0.0000
2 Ti 0.2070 0.2070 0.2070
3 Ti 0.7084 0.7084 0.7084
4 Cr 0.3515 0.3515 0.3515
5 Cr 0.8557 0.8557 0.8557
6 Sb 0.4995 0.4995 0.4995
7 P 0.0896 0.8195 0.3942
8 P 0.3052 0.6028 0.9092
9 P 0.3942 0.0896 0.8195
10 P 0.6028 0.9092 0.3052
11 P 0.8195 0.3942 0.0896
12 P 0.9092 0.3052 0.6028
13 O 0.0031 0.8904 0.2466
14 O 0.0906 0.3064 0.4277
15 O 0.1127 0.7589 0.9534
16 O 0.1572 0.9722 0.3564
17 O 0.2466 0.0031 0.8904
18 O 0.2499 0.6319 0.3833
19 O 0.3064 0.4277 0.0906
20 O 0.3139 0.5635 0.7541
21 O 0.3564 0.1572 0.9722
22 O 0.3833 0.2500 0.6319
23 O 0.4277 0.0906 0.3064
24 O 0.4758 0.6558 0.8497
25 O 0.5635 0.7541 0.3140
26 O 0.5913 0.9358 0.7915
27 O 0.6319 0.3833 0.2499
28 O 0.6558 0.8497 0.4758
29 O 0.7541 0.3140 0.5635
30 O 0.7589 0.9534 0.1127
31 O 0.7915 0.5913 0.9358
32 O 0.8497 0.4758 0.6558
33 O 0.8904 0.2466 0.0031
34 O 0.9358 0.7915 0.5913
35 O 0.9534 0.1127 0.7589
36 O 0.9722 0.3564 0.1572


Entry 5:
Structure and simulated X-ray powder pattern of CrSn3P6O24 (a GGA+U-relaxed structure; Cu Kα (λ = 1.5418 Å)).

Peak list (10 most intense, 2θ = 10–90°, sorted by position)
- 2θ 14.30, I 51
- 2θ 19.81, I 100
- 2θ 20.74, I 64
- 2θ 23.93, I 58
- 2θ 28.83, I 62
- 2θ 31.72, I 54
- 2θ 35.79, I 30
- 2θ 36.34, I 25
- 2θ 52.12, I 25
- 2θ 56.89, I 20

Structure:
abc: 8.9837 8.9837 8.9837
angles: 56.94 56.94 56.94
Sites, in units of the cell vectors:
1 Cr 0.0000 0.0000 0.0000
2 Sn 0.2844 0.2844 0.2844
3 Sn 0.4991 0.4991 0.4991
4 Sn 0.7899 0.7899 0.7899
5 P 0.1105 0.6865 0.3825
6 P 0.1796 0.6118 0.8920
7 P 0.3825 0.1105 0.6865
8 P 0.6118 0.8920 0.1795
9 P 0.6865 0.3825 0.1105
10 P 0.8920 0.1795 0.6118
11 O 0.0247 0.2627 0.4139
12 O 0.0445 0.8813 0.2311
13 O 0.1377 0.5321 0.3349
14 O 0.1413 0.7695 0.9477
15 O 0.2311 0.0445 0.8813
16 O 0.2627 0.4139 0.0247
17 O 0.2978 0.6697 0.3685
18 O 0.3235 0.6422 0.6867
19 O 0.3349 0.1377 0.5321
20 O 0.3685 0.2978 0.6697
21 O 0.4139 0.0247 0.2627
22 O 0.5321 0.3349 0.1377
23 O 0.5791 0.9547 0.6780
24 O 0.6213 0.9124 0.9931
25 O 0.6422 0.6867 0.3235
26 O 0.6697 0.3685 0.2978
27 O 0.6780 0.5791 0.9547
28 O 0.6867 0.3235 0.6422
29 O 0.7695 0.9477 0.1413
30 O 0.8813 0.2311 0.0445
31 O 0.9124 0.9931 0.6213
32 O 0.9477 0.1413 0.7695
33 O 0.9547 0.6780 0.5791
34 O 0.9931 0.6213 0.9124


Entry 6:
Structure and simulated X-ray powder pattern of SrCrSnP3O12 (a GGA+U-relaxed structure; Cu Kα (λ = 1.5418 Å)).

Peak list (10 most intense, 2θ = 10–90°, sorted by position)
- 2θ 20.80, I 98
- 2θ 23.83, I 60
- 2θ 31.29, I 100
- 2θ 36.45, I 37
- 2θ 42.36, I 15
- 2θ 43.60, I 20
- 2θ 45.15, I 17
- 2θ 48.78, I 34
- 2θ 57.07, I 24
- 2θ 62.40, I 24

Structure:
abc: 9.1411 9.1411 9.1411
angles: 55.69 55.69 55.69
Sites, in units of the cell vectors:
1 Sr 0.0000 0.0000 0.0000
2 Sr 0.5000 0.5000 0.5000
3 Cr 0.1503 0.1503 0.1503
4 Cr 0.8497 0.8497 0.8497
5 Sn 0.3513 0.3513 0.3513
6 Sn 0.6487 0.6487 0.6487
7 P 0.0400 0.7550 0.4603
8 P 0.2450 0.5397 0.9600
9 P 0.4603 0.0400 0.7550
10 P 0.5397 0.9600 0.2450
11 P 0.7550 0.4603 0.0400
12 P 0.9600 0.2450 0.5397
13 O 0.0198 0.7428 0.6441
14 O 0.0351 0.9481 0.2957
15 O 0.0519 0.7043 0.9649
16 O 0.1119 0.2885 0.5226
17 O 0.2381 0.6004 0.3978
18 O 0.2572 0.3559 0.9802
19 O 0.2885 0.5226 0.1119
20 O 0.2957 0.0351 0.9481
21 O 0.3559 0.9802 0.2572
22 O 0.3978 0.2381 0.6004
23 O 0.3996 0.6022 0.7619
24 O 0.4774 0.8881 0.7115
25 O 0.5226 0.1119 0.2885
26 O 0.6004 0.3978 0.2381
27 O 0.6022 0.7619 0.3996
28 O 0.6441 0.0198 0.7428
29 O 0.7043 0.9649 0.0519
30 O 0.7115 0.4774 0.8881
31 O 0.7428 0.6441 0.0197
32 O 0.7619 0.3996 0.6022
33 O 0.8881 0.7115 0.4774
34 O 0.9481 0.2957 0.0351
35 O 0.9649 0.0519 0.7043
36 O 0.9802 0.2572 0.3559


Entry 7:
Structure and simulated X-ray powder pattern of Ti3CrSn2P6O24 (a GGA+U-relaxed structure; Cu Kα (λ = 1.5418 Å)).

Peak list (10 most intense, 2θ = 10–90°, sorted by position)
- 2θ 20.73, I 92
- 2θ 23.78, I 66
- 2θ 25.21, I 26
- 2θ 31.30, I 100
- 2θ 32.86, I 26
- 2θ 36.31, I 32
- 2θ 45.14, I 22
- 2θ 48.68, I 34
- 2θ 56.84, I 23
- 2θ 62.21, I 21

Structure:
abc: 9.1292 9.1292 9.1292
angles: 55.99 55.99 55.99
Sites, in units of the cell vectors:
1 Ti 0.0000 0.0000 0.0000
2 Ti 0.2010 0.2010 0.2010
3 Ti 0.5010 0.5010 0.5010
4 Cr 0.7017 0.7017 0.7017
5 Sn 0.3394 0.3394 0.3394
6 Sn 0.8380 0.8380 0.8380
7 P 0.1022 0.8158 0.3911
8 P 0.3217 0.6021 0.8903
9 P 0.3911 0.1022 0.8158
10 P 0.6021 0.8903 0.3217
11 P 0.8158 0.3911 0.1022
12 P 0.8903 0.3217 0.6021
13 O 0.0812 0.2714 0.4360
14 O 0.0837 0.8424 0.2204
15 O 0.1295 0.9844 0.3621
16 O 0.1515 0.7878 0.9051
17 O 0.2204 0.0837 0.8424
18 O 0.2701 0.6336 0.4342
19 O 0.2714 0.4360 0.0812
20 O 0.3488 0.5679 0.7278
21 O 0.3621 0.1295 0.9844
22 O 0.4342 0.2701 0.6336
23 O 0.4360 0.0812 0.2714
24 O 0.4997 0.5982 0.8748
25 O 0.5679 0.7278 0.3488
26 O 0.5685 0.9157 0.8049
27 O 0.5982 0.8748 0.4997
28 O 0.6336 0.4342 0.2701
29 O 0.7278 0.3488 0.5679
30 O 0.7878 0.9051 0.1515
31 O 0.8049 0.5685 0.9157
32 O 0.8424 0.2204 0.0837
33 O 0.8748 0.4997 0.5982
34 O 0.9051 0.1515 0.7878
35 O 0.9157 0.8049 0.5685
36 O 0.9844 0.3621 0.1295


Entry 8:
Structure and simulated X-ray powder pattern of V3CrSn2P6O24 (a GGA+U-relaxed structure; Cu Kα (λ = 1.5418 Å)).

Peak list (10 most intense, 2θ = 10–90°, sorted by position)
- 2θ 20.76, I 97
- 2θ 23.85, I 69
- 2θ 25.27, I 26
- 2θ 31.45, I 100
- 2θ 32.93, I 25
- 2θ 36.37, I 34
- 2θ 45.35, I 22
- 2θ 48.83, I 35
- 2θ 56.95, I 24
- 2θ 62.38, I 24

Structure:
abc: 9.0794 9.0794 9.0794
angles: 56.23 56.23 56.23
Sites, in units of the cell vectors:
1 V 0.0000 0.0000 0.0000
2 V 0.2063 0.2063 0.2063
3 V 0.5045 0.5045 0.5045
4 Cr 0.7026 0.7026 0.7026
5 Sn 0.3623 0.3623 0.3623
6 Sn 0.8425 0.8425 0.8425
7 P 0.1019 0.8195 0.3875
8 P 0.3172 0.6034 0.8914
9 P 0.3875 0.1019 0.8195
10 P 0.6034 0.8914 0.3172
11 P 0.8195 0.3875 0.1019
12 P 0.8914 0.3172 0.6034
13 O 0.0659 0.8486 0.2255
14 O 0.0699 0.2807 0.4260
15 O 0.1365 0.7775 0.9316
16 O 0.1370 0.9822 0.3592
17 O 0.2255 0.0659 0.8486
18 O 0.2783 0.6343 0.4103
19 O 0.2807 0.4260 0.0699
20 O 0.3338 0.5999 0.7159
21 O 0.3592 0.1370 0.9822
22 O 0.4103 0.2783 0.6343
23 O 0.4260 0.0699 0.2807
24 O 0.4917 0.6087 0.8755
25 O 0.5731 0.9246 0.7976
26 O 0.5999 0.7159 0.3338
27 O 0.6087 0.8755 0.4917
28 O 0.6343 0.4103 0.2783
29 O 0.7159 0.3338 0.5999
30 O 0.7775 0.9316 0.1365
31 O 0.7976 0.5731 0.9246
32 O 0.8486 0.2255 0.0659
33 O 0.8755 0.4917 0.6087
34 O 0.9246 0.7976 0.5731
35 O 0.9316 0.1365 0.7775
36 O 0.9822 0.3592 0.1370